This entry pairs a crystal structure of CsMg6CoO8 with its theoretical powder diffractogram. Radiation: Cu Kα. Structure: a structure optimized by DFT (GGA+U).
Kinematic intensities with the Lorentz-polarization factor, no thermal factor.

Largest 10 diffraction maxima, sorted by position, 15 to 90 degrees two-theta:
- (0 0 2), 18.78 deg, intensity 33.4
- (0 0 3), 28.35 deg, intensity 48.8
- (1 1 1), 29.93 deg, intensity 39.5
- (1 1 2), 34.24 deg, intensity 56.2
- (0 0 4), 38.09 deg, intensity 44.2
- (2 0 0), 40.54 deg, intensity 100.0
- (2 0 3), 50.20 deg, intensity 21.0
- (2 0 4), 56.84 deg, intensity 58.3
- (2 2 0), 58.68 deg, intensity 30.0
- (2 2 4), 72.13 deg, intensity 22.2

Atomic structure:
```
data_CsMg6CoO8
_cell_length_a 4.4497
_cell_length_b 4.4497
_cell_length_c 9.4503
_cell_angle_alpha 90.00
_cell_angle_beta 90.00
_cell_angle_gamma 90.00
_space_group_name_H-M_alt 'P 1'
_space_group_IT_number 1
loop_
_space_group_symop_operation_xyz
'x,y,z'
loop_
_atom_site_label
_atom_site_type_symbol
_atom_site_fract_x
_atom_site_fract_y
_atom_site_fract_z
Cs1 Cs 0.0000 0.0000 0.0000
Mg1 Mg 0.0000 0.0000 0.5000
Mg2 Mg 0.0000 0.5000 0.2794
Mg3 Mg 0.0000 0.5000 0.7206
Mg4 Mg 0.5000 0.0000 0.2794
Mg5 Mg 0.5000 0.0000 0.7206
Mg6 Mg 0.5000 0.5000 0.5000
Co1 Co 0.5000 0.5000 0.0000
O1 O 0.0000 0.0000 0.2884
O2 O 0.0000 0.0000 0.7116
O3 O 0.0000 0.5000 0.0000
O4 O 0.0000 0.5000 0.5000
O5 O 0.5000 0.0000 0.0000
O6 O 0.5000 0.0000 0.5000
O7 O 0.5000 0.5000 0.2690
O8 O 0.5000 0.5000 0.7310
```